No. 1
Structure and calculated X-ray diffraction stick pattern of GaBiO3 (a DFT-relaxed cell (GGA-PBE, the Materials Project); Cu Kα, 1.54184 Å).

Peak list (6 most intense, 2θ = 10–90°, low angle first)
2θ 22.4, I 58.6; 2θ 31.7, I 100.0; 2θ 32.1, I 99.3; 2θ 45.7, I 47.3; 2θ 51.3, I 26.9; 2θ 56.9, I 42.3

Crystal structure
a b c (Å): 5.5850 5.5850 13.8878
angles (deg): 90.00 90.00 120.00
Space group R3c (No. 161, hexagonal axes)
Inequivalent atoms, fractional coordinates:
Ga1 0.0000 0.0000 0.0000 (multiplicity 6)
Bi1 0.0000 0.0000 0.2755 (multiplicity 6)
O1 0.1058 0.3505 0.0656 (multiplicity 18)

***

No. 2
Structure and calculated X-ray diffraction stick pattern of YTi2S4 (a DFT-relaxed cell (GGA-PBE, the Materials Project); Cu Kα, 1.54184 Å).

Peak list (6 most intense, 2θ = 10–90°, low angle first)
2θ 14.7, I 26.3; 2θ 17.4, I 23.9; 2θ 34.5, I 100.0; 2θ 35.3, I 47.0; 2θ 48.7, I 17.2; 2θ 50.2, I 62.0

Crystal structure
a b c (Å): 7.2182 7.4825 10.1681
angles (deg): 90.00 90.00 90.00
Space group Imma (No. 74)
Inequivalent atoms, fractional coordinates:
Y1 0.0000 0.0000 0.0000 (multiplicity 4)
Ti1 0.0000 0.0000 0.5000 (multiplicity 4)
Ti2 0.2500 0.2500 0.2500 (multiplicity 4)
S1 0.0000 0.0152 0.2608 (multiplicity 8)
S2 0.2319 0.2500 0.5010 (multiplicity 8)

***

No. 3
Structure and calculated X-ray diffraction stick pattern of CdH8C4S4N6 (a DFT-relaxed cell (GGA-PBE, the Materials Project); Cu Kα, 1.54184 Å).

Peak list (6 most intense, 2θ = 10–90°, low angle first)
2θ 11.5, I 45.1; 2θ 14.1, I 37.4; 2θ 14.9, I 50.4; 2θ 21.7, I 38.5; 2θ 27.6, I 100.0; 2θ 30.2, I 31.9

Crystal structure
a b c (Å): 4.1678 7.9126 10.2025
angles (deg): 90.98 99.09 103.81
Space group P-1 (No. 2)
Inequivalent atoms, fractional coordinates:
Cd1 0.0000 0.0000 0.0000 (multiplicity 1)
H1 0.3328 0.8994 0.2789 (multiplicity 2)
H2 0.3812 0.4932 0.6966 (multiplicity 2)
H3 0.4003 0.5210 0.8678 (multiplicity 2)
H4 0.4934 0.7592 0.3896 (multiplicity 2)
C1 0.0739 0.1769 0.3077 (multiplicity 2)
C2 0.4630 0.6964 0.1916 (multiplicity 2)
S1 0.0269 0.3000 0.4277 (multiplicity 2)
S2 0.3800 0.7574 0.0291 (multiplicity 2)
N1 0.1130 0.0849 0.2208 (multiplicity 2)
N2 0.4186 0.7888 0.2942 (multiplicity 2)
N3 0.4245 0.4469 0.7887 (multiplicity 2)